Structure and computed powder diffractogram of TiGaCu3 (a DFT-relaxed cell (GGA-PBE, Alexandria); Cu Kα (λ = 1.5418 Å)).
Intensities are scaled so that the largest is 1000.

Main lines, low angle first (2θ from 5° to 70°):
| two_theta | intensity |
| --- | --- |
| 32.98 | 135 |
| 36.21 | 134 |
| 39.00 | 305 |
| 39.71 | 217 |
| 40.97 | 1000 |
| 42.75 | 616 |
| 44.34 | 146 |
| 45.58 | 544 |
| 47.33 | 181 |
| 51.98 | 418 |
| 62.60 | 144 |
| 69.19 | 135 |

Structure:
Cell lengths 12.583, 12.583, 2.716 Å; angles 90.00, 90.00, 160.65 degrees
Positions (direct):
Ti (0.176, 0.824, 0.000)
Ti (0.824, 0.176, 0.000)
Ga (0.371, 0.629, 0.500)
Ga (0.629, 0.371, 0.500)
Cu (0.067, 0.933, 0.500)
Cu (0.273, 0.727, 0.500)
Cu (0.454, 0.546, 0.000)
Cu (0.546, 0.454, 0.000)
Cu (0.727, 0.273, 0.500)
Cu (0.933, 0.067, 0.500)